Structure and calculated X-ray powder pattern of LiCa2Ti3O8 (a structure optimized by DFT (GGA-PBE); Cu Kα (weighted mean of Kα1 and Kα2)).
Kinematic intensities with the Lorentz-polarization factor, no thermal factor.

Principal peaks in the range 5° ≤ 2θ ≤ 70°, by intensity:
2θ/deg	Rel. int.
40.53	100.0
15.89	84.8
17.68	80.5
33.61	79.2
61.06	46.0
56.19	45.0
31.69	40.9
34.54	36.7
51.68	33.2
53.64	26.1

Cell and atoms:
```
LiCa2Ti3O8
1.0
3.035 1.752 5.579
-3.035 1.752 5.579
0.000 -3.505 5.579
Li Ca Ti O
1 2 3 8
Direct
0.000 0.000 0.000
0.426 0.426 0.426
0.795 0.795 0.795
0.424 0.424 0.932
0.424 0.932 0.424
0.932 0.424 0.424
0.174 0.174 0.631
0.174 0.631 0.174
0.198 0.198 0.198
0.225 0.679 0.679
0.631 0.174 0.174
0.658 0.658 0.658
0.679 0.225 0.679
0.679 0.679 0.225
```